Structure and calculated powder X-ray diffraction pattern of LiMnI2F (a GGA+U-relaxed structure; Cu Ka).
Intensities are scaled so that the largest is 1000.

Crystal structure
a b c (Å): 5.8556 5.8556 4.0851
angles (deg): 90.00 90.00 90.00
Space group P4/mmm (No. 123)
Asymmetric unit:
Li1 0.0000 0.0000 0.0000
Mn1 0.5000 0.5000 0.5000
I1 0.0000 0.5000 0.5000
F1 0.5000 0.5000 0.0000

The 10 most intense peaks (2θ = 15–90°), sorted by position:
2theta, I/Imax
15.13, 267
21.46, 614
21.76, 846
30.53, 1000
30.75, 853
37.80, 801
43.72, 361
49.35, 369
54.40, 332
54.80, 361